For ThTl3Te4, the GGA-PBE geometry in Alexandria gives the calculated powder XRD pattern in this record (Cu Kα).

Largest 10 diffraction maxima, most intense first, 15° ≤ 2θ ≤ 90°:
hkl 1 2 1, 26.40 deg, d 3.376, rel. 1000; hkl 2 0 2, 37.58 deg, d 2.393, rel. 579; hkl 2 0 -2, 27.46 deg, d 3.248, rel. 460; hkl 1 2 -3, 39.31 deg, d 2.292, rel. 354; hkl 2 4 -2, 47.35 deg, d 1.920, rel. 199; hkl 0 4 0, 37.79 deg, d 2.380, rel. 189; hkl 2 4 2, 54.34 deg, d 1.688, rel. 127; hkl 1 2 5, 70.12 deg, d 1.342, rel. 120; hkl 4 0 0, 45.68 deg, d 1.986, rel. 107; hkl 0 0 4, 48.59 deg, d 1.874, rel. 96

```
data_ThTl3Te4
_cell_length_a 8.318
_cell_length_b 9.521
_cell_length_c 7.847
_cell_angle_alpha 90.00
_cell_angle_beta 107.23
_cell_angle_gamma 90.00
_symmetry_space_group_name_H-M 'P 1 2/c 1'
_symmetry_Int_Tables_number 13
_symmetry_space_group_name_Hall '-P 2yc'
loop_
_atom_site_label
_atom_site_fract_x
_atom_site_fract_y
_atom_site_fract_z
Th1 0.000 0.127 0.250
Tl1 0.000 0.382 0.750
Tl2 0.500 0.128 0.750
Tl3 0.500 0.378 0.250
Te1 0.224 0.107 0.995
Te2 0.234 0.362 0.485
```